[1]
This entry pairs a crystal structure of K2W2O5 with its computed powder diffractogram. Radiation: Cu Ka. Structure: DFT lattice parameters and positions (GGA+U).

Atomic structure:
```
18
Lattice="5.8068 0.0000 0.0000 -0.0169 5.8133 0.0000 -2.8571 -2.8968 7.9917" Properties=species:S:1:pos:R:3 pbc="T T T"
K 0.0000 0.0000 0.0000
K 0.0072 0.0822 3.8996
K 0.0271 0.0860 7.9844
K 2.8963 2.9120 3.8897
W -0.0095 2.9206 1.9460
W 0.0131 3.0382 5.9421
W 2.9056 0.0140 1.9455
W 2.9166 0.1257 5.9403
O -1.4697 1.4203 5.9034
O -0.0257 3.0716 4.0221
O 1.4269 4.3700 1.8651
O 1.5363 1.3844 2.0159
O 0.0692 -2.7319 7.8574
O 1.4946 1.4177 5.9761
O 2.8883 -0.1670 4.0407
O 4.2587 4.4581 1.8810
O 4.3577 1.4738 2.0200
O 2.9530 -0.1603 7.8440
```

Main lines, in order of falling intensity (2θ from 5° to 70°):
- hkl 1 -1 2, 2θ = 31.20°, I 100.0
- hkl 1 -1 0, 2θ = 21.63°, I 95.5
- hkl 2 0 -1, 2θ = 30.78°, I 74.2
- hkl 0 0 2, 2θ = 22.25°, I 39.9
- hkl 3 1 0, 2θ = 54.94°, I 33.7
- hkl 1 1 -3, 2θ = 31.32°, I 33.0
- hkl 2 -2 0, 2θ = 44.02°, I 20.2
- hkl 2 2 -2, 2θ = 44.15°, I 20.1
- hkl 0 0 4, 2θ = 45.39°, I 18.7
- hkl -3 1 1, 2θ = 49.60°, I 15.7

---

[2]
This entry pairs a crystal structure of Sr10Fe10O29 with its computed powder diffractogram. Radiation: Cu Ka. Structure: DFT lattice parameters and positions (GGA+U).

Atomic structure:
```
49
Lattice="3.9041 0.0000 0.0000 0.0000 7.8545 0.0000 0.0000 0.0000 19.6568" Properties=species:S:1:pos:R:3 pbc="T T T"
Sr 0.0000 1.8377 0.0000
Sr 0.0000 1.9217 3.9818
Sr 0.0000 1.9217 15.6750
Sr 0.0000 1.9629 7.8763
Sr 0.0000 1.9629 11.7806
Sr 0.0000 5.8917 7.8763
Sr 0.0000 5.8917 11.7806
Sr 0.0000 5.9329 3.9818
Sr 0.0000 5.9329 15.6750
Sr 0.0000 6.0168 0.0000
Fe 1.9520 0.0000 1.9663
Fe 1.9520 0.0000 5.9159
Fe 1.9520 0.0000 9.8284
Fe 1.9520 0.0000 13.7409
Fe 1.9520 0.0000 17.6905
Fe 1.9520 3.9273 2.0663
Fe 1.9520 3.9273 5.9280
Fe 1.9520 3.9273 9.8284
Fe 1.9520 3.9273 13.7288
Fe 1.9520 3.9273 17.5905
O 0.0000 0.0000 1.9822
O 0.0000 0.0000 5.8819
O 0.0000 0.0000 9.8284
O 0.0000 0.0000 13.7749
O 0.0000 0.0000 17.6747
O 0.0000 3.9273 1.6376
O 0.0000 3.9273 5.8956
O 0.0000 3.9273 9.8284
O 0.0000 3.9273 13.7613
O 0.0000 3.9273 18.0193
O 1.9520 0.0000 0.0000
O 1.9520 0.0000 3.8988
O 1.9520 0.0000 7.8883
O 1.9520 0.0000 11.7685
O 1.9520 0.0000 15.7580
O 1.9520 1.9537 5.8885
O 1.9520 1.9537 13.7683
O 1.9520 1.9755 9.8284
O 1.9520 2.0422 1.8323
O 1.9520 2.0422 17.8246
O 1.9520 3.9273 3.9445
O 1.9520 3.9273 7.8552
O 1.9520 3.9273 11.8016
O 1.9520 3.9273 15.7123
O 1.9520 5.8124 1.8323
O 1.9520 5.8124 17.8246
O 1.9520 5.8791 9.8284
O 1.9520 5.9008 5.8885
O 1.9520 5.9008 13.7683
```

Main lines, in order of falling intensity (2θ from 5° to 70°):
- hkl 1 0 5, 2θ = 32.27°, I 100.0
- hkl 1 2 0, 2θ = 32.33°, I 47.3
- hkl 0 4 0, 2θ = 46.21°, I 36.7
- hkl 1 4 5, 2θ = 57.51°, I 36.6
- hkl 2 4 0, 2θ = 67.66°, I 20.8
- hkl 2 2 5, 2θ = 57.72°, I 18.5
- hkl 2 0 0, 2θ = 46.52°, I 18.5
- hkl 1 2 5, 2θ = 39.82°, I 18.1
- hkl 0 4 10, 2θ = 67.41°, I 10.3
- hkl 0 2 0, 2θ = 22.63°, I 0.7